# 1
Dy2ThSe3: calculated powder diffraction line list (Cu Kα (weighted mean of Kα1 and Kα2)), based on a DFT-relaxed cell (PBE, Alexandria).
Lines closer than 0.1° are merged.

Structure:
```
data_Dy2ThSe3
_cell_length_a 4.0403
_cell_length_b 5.8461
_cell_length_c 12.5868
_cell_angle_alpha 90.00
_cell_angle_beta 90.00
_cell_angle_gamma 90.00
_space_group_name_H-M_alt 'I m m m'
_space_group_IT_number 71
_space_group_name_Hall '-I 2 2'
loop_
_atom_site_label
_atom_site_type_symbol
_atom_site_fract_x
_atom_site_fract_y
_atom_site_fract_z
Dy1 Dy 0.0000 0.0000 0.1619
Th1 Th 0.0000 0.0000 0.5000
Se1 Se 0.0000 0.5000 0.1758
Se2 Se 0.0000 0.5000 0.5000
```

Largest 10 diffraction maxima, most intense first, 10 to 80 degrees two-theta:
- 2θ 30.7, I 100
- 2θ 43.9, I 75
- 2θ 30.6, I 51
- 2θ 26.1, I 23
- 2θ 26.8, I 21
- 2θ 53.8, I 20
- 2θ 55.3, I 19
- 2θ 43.1, I 19
- 2θ 44.9, I 18
- 2θ 72.4, I 17

***

# 2
Dy4Tl3Se8: calculated powder diffraction line list (Cu Kα (weighted mean of Kα1 and Kα2)), based on a DFT-relaxed cell (PBE, Alexandria).
Lines closer than 0.1° are merged.

Structure:
```
data_Dy4Tl3Se8
_cell_length_a 12.0402
_cell_length_b 11.9467
_cell_length_c 8.3523
_cell_angle_alpha 90.00
_cell_angle_beta 133.39
_cell_angle_gamma 90.00
_space_group_name_H-M_alt 'C 1 2/m 1'
_space_group_IT_number 12
loop_
_space_group_symop_operation_xyz
'x,y,z'
'-x,-y,-z'
'-x,y,-z'
'x,-y,z'
'x+1/2,y+1/2,z'
'-x+1/2,-y+1/2,-z'
'-x+1/2,y+1/2,-z'
'x+1/2,-y+1/2,z'
loop_
_atom_site_label
_atom_site_type_symbol
_atom_site_fract_x
_atom_site_fract_y
_atom_site_fract_z
Dy1 Dy 0.0000 0.0000 0.0000
Dy2 Dy 0.0000 0.0000 0.5000
Dy3 Dy 0.2500 0.2500 0.0000
Tl1 Tl 0.0000 0.5000 0.5000
Tl2 Tl 0.2500 0.2500 0.5000
Se1 Se 0.0000 0.2382 0.5000
Se2 Se 0.0000 0.2431 0.0000
Se3 Se 0.2209 0.0000 0.4708
Se4 Se 0.2325 0.0000 0.9777
```

Largest 10 diffraction maxima, most intense first, 10 to 80 degrees two-theta:
- 2θ 29.4, I 100
- 2θ 29.7, I 98
- 2θ 29.9, I 97
- 2θ 42.5, I 73
- 2θ 42.7, I 73
- 2θ 51.8, I 39
- 2θ 41.3, I 38
- 2θ 53.6, I 38
- 2θ 43.3, I 37
- 2θ 25.2, I 31

***

# 3
Dy6TlSe8: calculated powder diffraction line list (Cu Kα (weighted mean of Kα1 and Kα2)), based on a DFT-relaxed cell (PBE, Alexandria).
Lines closer than 0.1° are merged.

Structure:
```
data_Dy6TlSe8
_cell_length_a 11.7317
_cell_length_b 11.7317
_cell_length_c 13.1125
_cell_angle_alpha 90.00
_cell_angle_beta 90.00
_cell_angle_gamma 120.00
_space_group_name_H-M_alt 'R -3'
_space_group_IT_number 148
_space_group_name_Hall '-R 3'
loop_
_atom_site_label
_atom_site_type_symbol
_atom_site_fract_x
_atom_site_fract_y
_atom_site_fract_z
Dy1 Dy 0.0003 0.1845 0.1193
Tl1 Tl 0.0000 0.0000 0.5000
Se1 Se 0.0000 0.0000 0.2551
Se2 Se 0.0056 0.7281 0.0839
```

Largest 10 diffraction maxima, most intense first, 10 to 80 degrees two-theta:
- 2θ 24.1, I 100
- 2θ 11.0, I 68
- 2θ 36.0, I 58
- 2θ 36.9, I 51
- 2θ 32.5, I 41
- 2θ 20.3, I 37
- 2θ 18.7, I 34
- 2θ 40.7, I 32
- 2θ 26.9, I 31
- 2θ 34.6, I 30

***

# 4
DyTlSe2: calculated powder diffraction line list (Cu Kα (weighted mean of Kα1 and Kα2)), based on a DFT-relaxed cell (PBE, Alexandria).
Lines closer than 0.1° are merged.

Structure:
```
data_DyTlSe2
_cell_length_a 4.1691
_cell_length_b 4.1691
_cell_length_c 23.6770
_cell_angle_alpha 90.00
_cell_angle_beta 90.00
_cell_angle_gamma 120.00
_space_group_name_H-M_alt 'R 3 m'
_space_group_IT_number 160
_space_group_name_Hall 'R 3 -2"'
loop_
_atom_site_label
_atom_site_type_symbol
_atom_site_fract_x
_atom_site_fract_y
_atom_site_fract_z
Dy1 Dy 0.0000 0.0000 0.0000
Tl1 Tl 0.0000 0.0000 0.8308
Se1 Se 0.0000 0.0000 0.4010
Se2 Se 0.0000 0.0000 0.5994
```

Largest 10 diffraction maxima, most intense first, 10 to 80 degrees two-theta:
- 2θ 31.2, I 100
- 2θ 43.4, I 51
- 2θ 24.9, I 37
- 2θ 36.4, I 37
- 2θ 25.8, I 30
- 2θ 54.4, I 21
- 2θ 65.1, I 20
- 2θ 29.0, I 19
- 2θ 72.0, I 18
- 2θ 22.5, I 18

***

# 5
Dy3ZrTl4Se8: calculated powder diffraction line list (Cu Kα (weighted mean of Kα1 and Kα2)), based on a DFT-relaxed cell (PBE, Alexandria).
Lines closer than 0.1° are merged.

Structure:
```
data_Dy3ZrTl4Se8
_cell_length_a 8.2186
_cell_length_b 8.2186
_cell_length_c 23.4624
_cell_angle_alpha 90.00
_cell_angle_beta 90.00
_cell_angle_gamma 120.00
_space_group_name_H-M_alt 'R -3 m'
_space_group_IT_number 166
_space_group_name_Hall '-R 3 2"'
loop_
_atom_site_label
_atom_site_type_symbol
_atom_site_fract_x
_atom_site_fract_y
_atom_site_fract_z
Dy1 Dy 0.0000 0.5000 0.0000
Zr1 Zr 0.0000 0.0000 0.0000
Tl1 Tl 0.0000 0.0000 0.5000
Tl2 Tl 0.0000 0.5000 0.5000
Se1 Se 0.0000 0.0000 0.2645
Se2 Se 0.0113 0.5056 0.7344
```

Largest 10 diffraction maxima, most intense first, 10 to 80 degrees two-theta:
- 2θ 29.4, I 100
- 2θ 39.8, I 38
- 2θ 44.1, I 34
- 2θ 26.2, I 19
- 2θ 53.8, I 18
- 2θ 65.9, I 17
- 2θ 72.0, I 15
- 2θ 46.4, I 14
- 2θ 22.7, I 11
- 2θ 60.9, I 11

***

# 6
DyTm3Se4: calculated powder diffraction line list (Cu Kα (weighted mean of Kα1 and Kα2)), based on a DFT-relaxed cell (PBE, Alexandria).
Lines closer than 0.1° are merged.

Structure:
```
data_DyTm3Se4
_cell_length_a 7.0275
_cell_length_b 7.9713
_cell_length_c 6.9976
_cell_angle_alpha 90.00
_cell_angle_beta 109.18
_cell_angle_gamma 90.00
_space_group_name_H-M_alt 'P 1 2/c 1'
_space_group_IT_number 13
loop_
_space_group_symop_operation_xyz
'x,y,z'
'-x,-y,-z'
'-x,y,-z+1/2'
'x,-y,z+1/2'
loop_
_atom_site_label
_atom_site_type_symbol
_atom_site_fract_x
_atom_site_fract_y
_atom_site_fract_z
Dy1 Dy 0.0000 0.1241 0.2500
Tm1 Tm 0.0000 0.3736 0.7500
Tm2 Tm 0.5000 0.1241 0.7500
Tm3 Tm 0.5000 0.3740 0.2500
Se1 Se 0.2517 0.3773 0.5020
Se2 Se 0.2541 0.1270 0.9999
```

Largest 10 diffraction maxima, most intense first, 10 to 80 degrees two-theta:
- 2θ 31.4, I 100
- 2θ 31.3, I 51
- 2θ 44.9, I 37
- 2θ 45.0, I 37
- 2θ 56.3, I 19
- 2θ 44.6, I 19
- 2θ 45.5, I 18
- 2θ 27.3, I 17
- 2θ 74.4, I 17
- 2θ 65.6, I 12

***

# 7
Dy3TmSe6: calculated powder diffraction line list (Cu Kα (weighted mean of Kα1 and Kα2)), based on a DFT-relaxed cell (PBE, Alexandria).
Lines closer than 0.1° are merged.

Structure:
```
data_Dy3TmSe6
_cell_length_a 11.9269
_cell_length_b 11.9269
_cell_length_c 14.2515
_cell_angle_alpha 90.00
_cell_angle_beta 90.00
_cell_angle_gamma 120.00
_space_group_name_H-M_alt 'R -3'
_space_group_IT_number 148
_space_group_name_Hall '-R 3'
loop_
_atom_site_label
_atom_site_type_symbol
_atom_site_fract_x
_atom_site_fract_y
_atom_site_fract_z
Dy1 Dy 0.0528 0.7809 0.2014
Tm1 Tm 0.0000 0.0000 0.0000
Tm2 Tm 0.0000 0.0000 0.5000
Se1 Se 0.0186 0.8086 0.3964
Se2 Se 0.0323 0.8379 0.8766
```

Largest 10 diffraction maxima, most intense first, 10 to 80 degrees two-theta:
- 2θ 34.1, I 100
- 2θ 23.6, I 86
- 2θ 40.0, I 85
- 2θ 33.7, I 75
- 2θ 18.7, I 55
- 2θ 26.0, I 45
- 2θ 21.2, I 41
- 2θ 40.9, I 40
- 2θ 44.5, I 23
- 2θ 23.9, I 22

***

# 8
Dy3TmSe6: calculated powder diffraction line list (Cu Kα (weighted mean of Kα1 and Kα2)), based on a DFT-relaxed cell (PBE, Alexandria).
Lines closer than 0.1° are merged.

Structure:
```
data_Dy3TmSe6
_cell_length_a 7.1770
_cell_length_b 7.1770
_cell_length_c 19.4115
_cell_angle_alpha 90.00
_cell_angle_beta 90.00
_cell_angle_gamma 120.00
_space_group_name_H-M_alt 'R 3'
_space_group_IT_number 146
_space_group_name_Hall 'R 3'
loop_
_atom_site_label
_atom_site_type_symbol
_atom_site_fract_x
_atom_site_fract_y
_atom_site_fract_z
Dy1 Dy 0.0000 0.0000 0.0000
Dy2 Dy 0.0000 0.0000 0.1957
Dy3 Dy 0.0000 0.0000 0.6965
Tm1 Tm 0.0000 0.0000 0.5011
Se1 Se 0.0015 0.6971 0.5972
Se2 Se 0.0053 0.3095 0.0978
```

Largest 10 diffraction maxima, most intense first, 10 to 80 degrees two-theta:
- 2θ 37.4, I 100
- 2θ 43.7, I 61
- 2θ 23.3, I 56
- 2θ 28.4, I 55
- 2θ 16.9, I 42
- 2θ 24.8, I 41
- 2θ 34.3, I 36
- 2θ 42.8, I 33
- 2θ 58.9, I 26
- 2θ 76.1, I 22

***

# 9
Dy2TmSe4: calculated powder diffraction line list (Cu Kα (weighted mean of Kα1 and Kα2)), based on a DFT-relaxed cell (PBE, Alexandria).
Lines closer than 0.1° are merged.

Structure:
```
data_Dy2TmSe4
_cell_length_a 8.1205
_cell_length_b 8.1319
_cell_length_c 11.2818
_cell_angle_alpha 90.00
_cell_angle_beta 90.00
_cell_angle_gamma 90.00
_space_group_name_H-M_alt 'I m m a'
_space_group_IT_number 74
_space_group_name_Hall '-I 2b 2'
loop_
_atom_site_label
_atom_site_type_symbol
_atom_site_fract_x
_atom_site_fract_y
_atom_site_fract_z
Dy1 Dy 0.0000 0.0000 0.0000
Dy2 Dy 0.2500 0.2500 0.2500
Tm1 Tm 0.0000 0.0000 0.5000
Se1 Se 0.0000 0.0012 0.2515
Se2 Se 0.2469 0.2500 0.5067
```

Largest 10 diffraction maxima, most intense first, 10 to 80 degrees two-theta:
- 2θ 31.1, I 100
- 2θ 45.0, I 71
- 2θ 31.7, I 47
- 2θ 55.8, I 38
- 2θ 44.6, I 37
- 2θ 13.4, I 27
- 2θ 73.7, I 17
- 2θ 74.1, I 16
- 2θ 75.0, I 15
- 2θ 27.0, I 12

***

# 10
Dy4TmSe5: calculated powder diffraction line list (Cu Kα (weighted mean of Kα1 and Kα2)), based on a DFT-relaxed cell (PBE, Alexandria).
Lines closer than 0.1° are merged.

Structure:
```
data_Dy4TmSe5
_cell_length_a 9.0746
_cell_length_b 9.0746
_cell_length_c 5.7577
_cell_angle_alpha 90.00
_cell_angle_beta 90.00
_cell_angle_gamma 90.00
_space_group_name_H-M_alt 'I 4/m'
_space_group_IT_number 87
_space_group_name_Hall '-I 4'
loop_
_atom_site_label
_atom_site_type_symbol
_atom_site_fract_x
_atom_site_fract_y
_atom_site_fract_z
Dy1 Dy 0.0971 0.6967 0.0000
Tm1 Tm 0.0000 0.0000 0.5000
Se1 Se 0.0000 0.0000 0.0000
Se2 Se 0.1010 0.7049 0.5000
```

Largest 10 diffraction maxima, most intense first, 10 to 80 degrees two-theta:
- 2θ 44.6, I 100
- 2θ 31.2, I 90
- 2θ 31.1, I 45
- 2θ 55.4, I 35
- 2θ 73.8, I 30
- 2θ 26.9, I 30
- 2θ 73.6, I 15
- 2θ 65.0, I 11
- 2θ 52.9, I 10
- 2θ 64.8, I 5

***

# 11
DyYTm2Se6: calculated powder diffraction line list (Cu Kα (weighted mean of Kα1 and Kα2)), based on a DFT-relaxed cell (PBE, Alexandria).
Lines closer than 0.1° are merged.

Structure:
```
data_DyYTm2Se6
_cell_length_a 7.1533
_cell_length_b 7.1533
_cell_length_c 19.3512
_cell_angle_alpha 90.00
_cell_angle_beta 90.00
_cell_angle_gamma 120.00
_space_group_name_H-M_alt 'R 3'
_space_group_IT_number 146
_space_group_name_Hall 'R 3'
loop_
_atom_site_label
_atom_site_type_symbol
_atom_site_fract_x
_atom_site_fract_y
_atom_site_fract_z
Dy1 Dy 0.0000 0.0000 0.0000
Y1 Y 0.0000 0.0000 0.4998
Tm1 Tm 0.0000 0.0000 0.3047
Tm2 Tm 0.0000 0.0000 0.8049
Se1 Se 0.0074 0.3091 0.9008
Se2 Se 0.0075 0.6979 0.4005
```

Largest 10 diffraction maxima, most intense first, 10 to 80 degrees two-theta:
- 2θ 37.6, I 100
- 2θ 28.5, I 64
- 2θ 43.8, I 62
- 2θ 23.3, I 52
- 2θ 17.0, I 46
- 2θ 34.4, I 35
- 2θ 24.9, I 34
- 2θ 42.9, I 31
- 2θ 59.1, I 25
- 2θ 76.4, I 22

***

# 12
Dy2YTmSe6: calculated powder diffraction line list (Cu Kα (weighted mean of Kα1 and Kα2)), based on a DFT-relaxed cell (PBE, Alexandria).
Lines closer than 0.1° are merged.

Structure:
```
data_Dy2YTmSe6
_cell_length_a 7.1798
_cell_length_b 7.1798
_cell_length_c 19.4052
_cell_angle_alpha 90.00
_cell_angle_beta 90.00
_cell_angle_gamma 120.00
_space_group_name_H-M_alt 'R 3'
_space_group_IT_number 146
_space_group_name_Hall 'R 3'
loop_
_atom_site_label
_atom_site_type_symbol
_atom_site_fract_x
_atom_site_fract_y
_atom_site_fract_z
Dy1 Dy 0.0000 0.0000 0.0000
Dy2 Dy 0.0000 0.0000 0.4991
Y1 Y 0.0000 0.0000 0.1957
Tm1 Tm 0.0000 0.0000 0.6945
Se1 Se 0.0288 0.3568 0.7644
Se2 Se 0.0303 0.6673 0.2650
```

Largest 10 diffraction maxima, most intense first, 10 to 80 degrees two-theta:
- 2θ 37.4, I 100
- 2θ 28.4, I 66
- 2θ 43.7, I 63
- 2θ 23.3, I 52
- 2θ 16.9, I 43
- 2θ 34.3, I 34
- 2θ 24.8, I 33
- 2θ 42.8, I 31
- 2θ 58.8, I 26
- 2θ 76.1, I 22